# 1
This entry pairs a crystal structure of K2PdC2 with its theoretical PXRD pattern. Radiation: Cu Kα (weighted mean of Kα1 and Kα2). Structure: a DFT-relaxed cell (PBE, the Materials Project).

Most intense lines, 5° ≤ 2θ ≤ 70°, low angle first:
| (hkl) | 2θ/deg | I/Imax |
| --- | --- | --- |
| 1 0 0 | 19.77 | 56 |
| 0 1 1 | 26.01 | 100 |
| 1 1 0 | 34.59 | 71 |
| 1 0 2 | 39.51 | 49 |
| 2 0 1 | 43.79 | 24 |
| 0 2 2 | 53.50 | 19 |
| 1 2 1 | 56.97 | 22 |
| 2 1 2 | 65.29 | 21 |

Atomic structure:
Unit cell a=5.1860 b=5.1860 c=5.2961 alpha=90.00 beta=90.00 gamma=120.00
Space group P-3m1 (No. 164)
Symmetry-distinct sites (fractional):
K1 0.3333 0.6667 0.2783
Pd1 0.0000 0.0000 0.0000
C1 0.0000 0.0000 0.3802

=====

# 2
This entry pairs a crystal structure of K2PtC2 with its theoretical PXRD pattern. Radiation: Cu Kα (weighted mean of Kα1 and Kα2). Structure: a DFT-relaxed cell (PBE, the Materials Project).

Most intense lines, 5° ≤ 2θ ≤ 70°, low angle first:
| (hkl) | 2θ/deg | I/Imax |
| --- | --- | --- |
| 0 0 1 | 16.91 | 31 |
| 1 0 0 | 19.78 | 78 |
| 1 0 1 | 26.14 | 100 |
| 1 1 0 | 34.62 | 55 |
| 1 1 1 | 38.77 | 25 |
| 0 1 2 | 39.82 | 47 |
| 0 2 1 | 43.89 | 26 |
| 2 1 1 | 57.07 | 24 |

Atomic structure:
Unit cell a=5.1819 b=5.1819 c=5.2436 alpha=90.00 beta=90.00 gamma=120.00
Space group P-3m1 (No. 164)
Symmetry-distinct sites (fractional):
K1 0.3333 0.6667 0.2245
Pt1 0.0000 0.0000 0.5000
C1 0.0000 0.0000 0.1218

=====

# 3
This entry pairs a crystal structure of LiLaC2O6 with its theoretical PXRD pattern. Radiation: Cu Kα (weighted mean of Kα1 and Kα2). Structure: a DFT-relaxed cell (PBE, the Materials Project).

Most intense lines, 5° ≤ 2θ ≤ 70°, low angle first:
| (hkl) | 2θ/deg | I/Imax |
| --- | --- | --- |
| 1 1 -1 | 16.91 | 100 |
| 2 0 0 | 21.21 | 18 |
| 2 0 -2 | 25.43 | 19 |
| 1 1 1 | 25.85 | 43 |
| 2 2 -1 | 28.62 | 74 |
| 2 2 0 | 31.10 | 35 |
| 3 1 -3 | 40.27 | 27 |
| 2 0 2 | 47.46 | 22 |

Atomic structure:
Unit cell a=10.267 b=7.909 c=7.070 alpha=90.00 beta=125.31 gamma=90.00
Space group C2/c (No. 15)
Symmetry-distinct sites (fractional):
Li1 0.000 0.250 0.250
La1 0.000 0.196 0.750
C1 0.233 0.443 0.629
O1 0.119 0.084 0.196
O2 0.123 0.332 0.562
O3 0.204 0.414 0.020

=====

# 4
This entry pairs a crystal structure of LaMg6C with its theoretical PXRD pattern. Radiation: Cu Kα (weighted mean of Kα1 and Kα2). Structure: a DFT-relaxed cell (PBE, the Materials Project).

Most intense lines, 5° ≤ 2θ ≤ 70°, low angle first:
| (hkl) | 2θ/deg | I/Imax |
| --- | --- | --- |
| 0 1 1 | 15.07 | 68 |
| 0 0 2 | 15.19 | 43 |
| 1 0 0 | 19.36 | 31 |
| 1 1 1 | 24.65 | 100 |
| 0 1 3 | 26.40 | 34 |
| 0 2 2 | 30.41 | 61 |
| 1 2 2 | 36.31 | 94 |
| 1 0 4 | 36.52 | 66 |

Atomic structure:
Unit cell a=4.584 b=6.806 c=11.665 alpha=90.00 beta=90.00 gamma=90.00
Space group Amm2 (No. 38)
Symmetry-distinct sites (fractional):
La1 0.000 0.000 0.000
Mg1 0.000 0.000 0.532
Mg2 0.000 0.241 0.775
Mg3 0.500 0.000 0.365
Mg4 0.500 0.228 0.623
C1 0.500 0.000 0.885

=====

# 5
This entry pairs a crystal structure of LaMg6C with its theoretical PXRD pattern. Radiation: Cu Kα (weighted mean of Kα1 and Kα2). Structure: a DFT-relaxed cell (PBE, the Materials Project).

Most intense lines, 5° ≤ 2θ ≤ 70°, low angle first:
| (hkl) | 2θ/deg | I/Imax |
| --- | --- | --- |
| 0 0 2 | 12.84 | 56 |
| 0 1 1 | 17.11 | 91 |
| 1 1 1 | 25.61 | 100 |
| 1 1 3 | 31.59 | 82 |
| 1 0 4 | 32.21 | 96 |
| 0 2 2 | 34.62 | 50 |
| 2 0 0 | 38.35 | 40 |
| 1 2 2 | 39.74 | 78 |

Atomic structure:
Unit cell a=4.694 b=5.591 c=13.792 alpha=90.00 beta=90.00 gamma=90.00
Space group Amm2 (No. 38)
Symmetry-distinct sites (fractional):
La1 0.000 0.000 0.000
Mg1 0.000 0.248 0.259
Mg2 0.500 0.000 0.165
Mg3 0.500 0.000 0.589
Mg4 0.500 0.238 0.383
C1 0.000 0.000 0.396

=====

What is the formula in the fifth record?
LaMg6C

=====

Copy entry 1 word for word.
This entry pairs a crystal structure of K2PdC2 with its theoretical PXRD pattern. Radiation: Cu Kα (weighted mean of Kα1 and Kα2). Structure: a DFT-relaxed cell (PBE, the Materials Project).

Most intense lines, 5° ≤ 2θ ≤ 70°, low angle first:
| (hkl) | 2θ/deg | I/Imax |
| --- | --- | --- |
| 1 0 0 | 19.77 | 56 |
| 0 1 1 | 26.01 | 100 |
| 1 1 0 | 34.59 | 71 |
| 1 0 2 | 39.51 | 49 |
| 2 0 1 | 43.79 | 24 |
| 0 2 2 | 53.50 | 19 |
| 1 2 1 | 56.97 | 22 |
| 2 1 2 | 65.29 | 21 |

Atomic structure:
Unit cell a=5.1860 b=5.1860 c=5.2961 alpha=90.00 beta=90.00 gamma=120.00
Space group P-3m1 (No. 164)
Symmetry-distinct sites (fractional):
K1 0.3333 0.6667 0.2783
Pd1 0.0000 0.0000 0.0000
C1 0.0000 0.0000 0.3802